Structure and simulated X-ray diffraction stick pattern of TlCdPb14 (a DFT-relaxed cell (PBE, Alexandria); Cu Kα X-rays).
Kinematic intensities with the Lorentz-polarization factor, no thermal factor.

Crystal structure
a b c (Å): 10.042 10.058 9.839
angles (deg): 90.00 90.00 90.00
Space group Cmmm (No. 65)
Unique sites:
1 Tl 0.000 0.000 0.000 x2
2 Cd 0.000 0.500 0.000 x2
3 Pb 0.000 0.000 0.500 x2
4 Pb 0.000 0.252 0.247 x8
5 Pb 0.000 0.500 0.500 x2
6 Pb 0.248 0.500 0.247 x8
7 Pb 0.250 0.250 0.000 x4
8 Pb 0.250 0.250 0.500 x4

Peak list (6 most intense, 10° ≤ 2θ ≤ 90°, low angle first)
(2 2 2), d 2.880, 31.0°, intensity 100; (4 0 0), d 2.512, 35.7°, intensity 35; (0 0 4), d 2.460, 36.5°, intensity 16; (4 0 4), d 1.758, 52.0°, intensity 24; (2 6 2), d 1.513, 61.3°, intensity 15; (6 2 2), d 1.511, 61.3°, intensity 15